Entry 1:
Theoretical powder diffraction line list
Compound: Tl2Sn7
Radiation: Cu Kα (λ = 1.5418 Å)
Structure: DFT lattice parameters and positions (PBE)
No peak broadening, texture or thermal motion is included.

Cell and atoms:
a b c (Å): 5.811 5.811 8.780
angles (deg): 90.00 90.00 120.00
Sites, in units of the cell vectors:
Tl1 0.333 0.667 0.000
Tl2 0.667 0.333 0.000
Sn1 0.000 0.000 0.000
Sn2 0.000 0.329 0.665
Sn3 0.000 0.671 0.335
Sn4 0.329 0.000 0.665
Sn5 0.329 0.329 0.335
Sn6 0.671 0.000 0.335
Sn7 0.671 0.671 0.665

The 10 most intense peaks (10° ≤ 2θ ≤ 80°), by angle:
Position (°2θ)  Rel. int.  hkl
30.5  38  0 0 3
32.5  100  1 1 1
37.1  70  2 -1 2
52.2  27  1 1 4
54.7  23  3 0 0
61.7  16  2 -1 5
64.0  29  3 0 3
65.1  14  4 -2 1
68.0  13  2 2 2
79.0  8  4 -2 4



Entry 2:
Theoretical powder diffraction line list
Compound: TlSn5
Radiation: Cu Kα (λ = 1.5418 Å)
Structure: DFT lattice parameters and positions (PBE)
No peak broadening, texture or thermal motion is included.

Cell and atoms:
a b c (Å): 3.327 6.768 7.996
angles (deg): 97.70 98.27 102.87
Sites, in units of the cell vectors:
Tl1 0.000 0.000 0.000
Sn1 0.168 0.675 0.660
Sn2 0.387 0.170 0.651
Sn3 0.505 0.500 0.001
Sn4 0.616 0.830 0.351
Sn5 0.835 0.324 0.341

The 10 most intense peaks (10° ≤ 2θ ≤ 80°), by angle:
Position (°2θ)  Rel. int.  hkl
31.3  48  1 -1 1
31.6  78  0 2 1
32.2  21  1 0 1
32.7  70  0 2 -2
32.9  20  1 0 -2
33.6  40  1 1 -1
34.2  21  1 -2 0
34.5  100  0 0 3
44.4  22  1 -3 0
55.8  17  0 4 -1



Please write out number 1 again, unchanged.
Theoretical powder diffraction line list
Compound: Tl2Sn7
Radiation: Cu Kα (λ = 1.5418 Å)
Structure: DFT lattice parameters and positions (PBE)
No peak broadening, texture or thermal motion is included.

Cell and atoms:
a b c (Å): 5.811 5.811 8.780
angles (deg): 90.00 90.00 120.00
Sites, in units of the cell vectors:
Tl1 0.333 0.667 0.000
Tl2 0.667 0.333 0.000
Sn1 0.000 0.000 0.000
Sn2 0.000 0.329 0.665
Sn3 0.000 0.671 0.335
Sn4 0.329 0.000 0.665
Sn5 0.329 0.329 0.335
Sn6 0.671 0.000 0.335
Sn7 0.671 0.671 0.665

The 10 most intense peaks (10° ≤ 2θ ≤ 80°), by angle:
Position (°2θ)  Rel. int.  hkl
30.5  38  0 0 3
32.5  100  1 1 1
37.1  70  2 -1 2
52.2  27  1 1 4
54.7  23  3 0 0
61.7  16  2 -1 5
64.0  29  3 0 3
65.1  14  4 -2 1
68.0  13  2 2 2
79.0  8  4 -2 4



Which formula does entry 2 have?
TlSn5